[1]
Starting from a structure optimized by DFT (PBE), the XRD peak list of La6Tb3Pu was computed for Cu Kα.
Peak positions follow from Bragg's law for the DFT cell and can differ from measured ones.

Cell and atoms:
```
data_La6Tb3Pu
_space_group_name_H-M_alt 'P 1 21/c 1'
_space_group_IT_number 14
_space_group_name_Hall '-P 2ybc'
_cell_length_a 6.7569
_cell_length_b 9.9081
_cell_length_c 10.5649
_cell_angle_alpha 90.00
_cell_angle_beta 95.78
_cell_angle_gamma 90.00
loop_
_atom_site_label
_atom_site_fract_x
_atom_site_fract_y
_atom_site_fract_z
_atom_site_occupancy
La1 0.0396 0.1610 0.0567 1
La2 0.2071 0.0664 0.7451 1
La3 0.4036 0.1370 0.4147 1
Tb1 0.2822 0.6871 0.7629 1
Tb2 0.5000 0.0000 0.0000 1
Pu1 0.0000 0.0000 0.5000 1
```

Largest 6 diffraction maxima, by intensity, 2θ from 10° to 90°:
| index | 2θ/deg | d_spacing | I (rel.) |
| --- | --- | --- | --- |
| 1 3 -1 | 31.0 | 2.887 | 100 |
| 2 0 -2 | 30.1 | 2.970 | 92 |
| 0 2 3 | 31.3 | 2.860 | 71 |
| 0 0 4 | 34.1 | 2.633 | 60 |
| 1 1 2 | 24.3 | 3.670 | 38 |
| 3 3 -3 | 54.0 | 1.698 | 21 |

[2]
Starting from a structure optimized by DFT (PBE), the XRD peak list of La8Tb5Pu was computed for Cu Kα.
Peak positions follow from Bragg's law for the DFT cell and can differ from measured ones.

Cell and atoms:
```
data_La8Tb5Pu
_space_group_name_H-M_alt 'C 1 2 1'
_space_group_IT_number 5
_space_group_name_Hall 'C 2y'
_cell_length_a 15.4306
_cell_length_b 8.5334
_cell_length_c 8.7785
_cell_angle_alpha 90.00
_cell_angle_beta 121.89
_cell_angle_gamma 90.00
loop_
_atom_site_label
_atom_site_fract_x
_atom_site_fract_y
_atom_site_fract_z
_atom_site_occupancy
La1 0.1190 0.0000 0.1890 1
La2 0.1711 0.5892 0.2154 1
La3 0.1764 0.2806 0.9147 1
La4 0.1875 0.7681 0.5668 1
Tb1 0.0000 0.0332 0.5000 1
Tb2 0.0527 0.6887 0.7725 1
Tb3 0.0994 0.3687 0.4611 1
Pu1 0.0000 0.3492 0.0000 1
```

Largest 6 diffraction maxima, by intensity, 2θ from 10° to 90°:
| index | 2θ/deg | d_spacing | I (rel.) |
| --- | --- | --- | --- |
| 5 1 -1 | 31.4 | 2.850 | 100 |
| 1 1 2 | 30.1 | 2.972 | 49 |
| 4 0 -3 | 31.7 | 2.824 | 39 |
| 1 3 0 | 32.2 | 2.780 | 34 |
| 2 2 1 | 30.7 | 2.913 | 30 |
| 0 2 2 | 31.9 | 2.807 | 29 |